# 1
For La2Nb3S2O8, a cell relaxed with GGA-PBE gives the calculated powder XRD pattern in this record (λ = 1.5418 Å (Cu Kα)).

Atomic structure:
a b c (Å): 9.9782 11.9926 7.7030
angles (deg): 90.00 90.00 90.00
Space group Pnnm (No. 58)
One atom of each set of equivalent atoms:
La (0.2056, 0.1601, 0.0000) x4
La (0.2317, 0.1498, 0.5000) x4
Nb (0.0000, 0.5000, 0.2886) x4
Nb (0.1365, 0.9149, 0.2503) x8
S (0.0194, 0.3463, 0.5000) x4
S (0.0201, 0.3665, 0.0000) x4
O (0.0545, 0.1059, 0.2560) x8
O (0.1340, 0.9485, 0.0000) x4
O (0.1511, 0.9517, 0.5000) x4
O (0.1980, 0.5267, 0.2652) x8
O (0.2139, 0.7745, 0.2500) x8

Principal peaks in the range 2θ from 5° to 70°, most intense first:
hkl  2θ (°)  I (rel.)
1 2 2  29.0  100
3 1 0  27.8  58
0 0 4  47.2  42
0 2 2  27.5  37
3 2 0  30.7  33
2 1 2  30.2  29
1 4 0  31.1  28
4 4 2  53.4  24
2 0 2  29.3  22
2 2 0  23.2  20
1 2 0  17.3  17
3 3 2  42.4  17

***

# 2
For Rb3Dy3InTe8, a cell relaxed with GGA-PBE gives the calculated powder XRD pattern in this record (λ = 1.5418 Å (Cu Kα)).

Atomic structure:
a b c (Å): 15.2807 8.8002 10.2180
angles (deg): 90.00 119.96 90.00
Space group C2/m (No. 12)
One atom of each set of equivalent atoms:
Rb (0.0000, 0.0000, 0.0000) x2
Rb (0.2500, 0.2500, 0.0000) x4
Dy (0.0000, 0.5000, 0.5000) x2
Dy (0.2500, 0.2500, 0.5000) x4
In (0.0000, 0.0000, 0.5000) x2
Te (0.0176, 0.2493, 0.3032) x8
Te (0.2315, 0.0000, 0.6965) x4
Te (0.2335, 0.5000, 0.7004) x4

Principal peaks in the range 2θ from 5° to 70°, most intense first:
hkl  2θ (°)  I (rel.)
4 0 0  27.0  100
0 0 1  10.0  44
4 0 -4  35.9  34
6 2 -2  40.9  24
4 0 1  33.3  20
2 2 3  44.4  13
4 4 0  49.8  12
0 4 0  41.0  12
4 4 -4  55.6  10
6 2 -6  59.2  9
6 2 -1  42.3  8
6 2 3  67.9  8

***

Q: Which formula does entry 2 have?
A: Rb3Dy3InTe8